# 1
# HoAlFe
Calculated powder X-ray diffraction pattern, copper Kα. Input: the GGA-PBE geometry in Alexandria.
Neutral-atom scattering factors, no anomalous dispersion.

The 10 most intense peaks (2θ from 15° to 90°), low angle first:
4.638 Å, 2θ = 19.1°, I 306, (0 1 1); 4.584 Å, 2θ = 19.4°, I 225, (0 0 2); 3.168 Å, 2θ = 28.2°, I 237, (2 1 1); 2.688 Å, 2θ = 33.3°, I 346, (0 2 0); 2.657 Å, 2θ = 33.7°, I 542, (0 1 3); 2.454 Å, 2θ = 36.6°, I 1000, (3 1 1); 2.446 Å, 2θ = 36.7°, I 402, (3 0 2); 2.285 Å, 2θ = 39.4°, I 311, (2 2 0); 2.266 Å, 2θ = 39.8°, I 758, (2 1 3); 2.240 Å, 2θ = 40.3°, I 428, (1 2 2)

Atomic structure:
a b c (Å): 8.675 5.376 9.169
angles (deg): 90.00 90.00 90.00
Space group Amm2 (No. 38)
Asymmetric unit:
Ho (0.176, 0.000, 0.000) x4
Ho (0.304, 0.000, 0.335) x4
Al (0.233, 0.000, 0.674) x4
Al (0.500, 0.247, 0.081) x4
Fe (0.000, 0.000, 0.496) x2
Fe (0.000, 0.231, 0.258) x4
Fe (0.500, 0.000, 0.835) x2

=====

# 2
# Na2Er2GeO6
Calculated powder X-ray diffraction pattern, copper Kα. Input: the GGA-PBE geometry in Alexandria.
Neutral-atom scattering factors, no anomalous dispersion.

The 10 most intense peaks (2θ from 15° to 90°), low angle first:
5.671 Å, 2θ = 15.6°, I 1000, (0 0 1); 2.835 Å, 2θ = 31.6°, I 169, (0 0 2); 2.793 Å, 2θ = 32.0°, I 259, (1 3 0); 2.749 Å, 2θ = 32.6°, I 136, (2 0 -1); 2.735 Å, 2θ = 32.7°, I 143, (2 0 0); 2.643 Å, 2θ = 33.9°, I 245, (1 3 -1); 2.387 Å, 2θ = 37.7°, I 425, (1 3 1); 2.275 Å, 2θ = 39.6°, I 181, (2 0 -2); 1.873 Å, 2θ = 48.6°, I 129, (1 3 2); 1.626 Å, 2θ = 56.6°, I 176, (0 6 0)

Atomic structure:
a b c (Å): 5.652 9.744 5.858
angles (deg): 90.00 104.54 90.00
Space group C2/m (No. 12)
Asymmetric unit:
Na (0.000, 0.149, 0.000) x4
Er (0.000, 0.335, 0.500) x4
Ge (0.000, 0.000, 0.500) x2
O (0.196, 0.153, 0.689) x8
O (0.234, 0.000, 0.311) x4

=====

# 3
# Pm6PrTm
Calculated powder X-ray diffraction pattern, copper Kα. Input: the GGA-PBE geometry in Alexandria.
Neutral-atom scattering factors, no anomalous dispersion.

The 8 most intense peaks (2θ from 15° to 90°), low angle first:
2.969 Å, 2θ = 30.1°, I 1000, (1 1 2); 2.571 Å, 2θ = 34.9°, I 507, (2 0 0); 1.818 Å, 2θ = 50.2°, I 362, (2 2 0); 1.550 Å, 2θ = 59.6°, I 431, (3 1 2); 1.484 Å, 2θ = 62.6°, I 124, (2 2 4); 1.286 Å, 2θ = 73.7°, I 57, (4 0 0); 1.180 Å, 2θ = 81.6°, I 176, (3 3 2); 1.150 Å, 2θ = 84.2°, I 164, (4 2 0)

Atomic structure:
a b c (Å): 5.144 5.144 10.279
angles (deg): 90.00 90.00 90.00
Space group P4/mmm (No. 123)
Asymmetric unit:
Pm (0.000, 0.000, 0.000) x1
Pm (0.000, 0.000, 0.500) x1
Pm (0.000, 0.500, 0.247) x4
Pr (0.500, 0.500, 0.500) x1
Tm (0.500, 0.500, 0.000) x1

=====

# 4
# TlNiTeSe3
Calculated powder X-ray diffraction pattern, copper Kα. Input: the GGA-PBE geometry in Alexandria.
Neutral-atom scattering factors, no anomalous dispersion.

The 10 most intense peaks (2θ from 15° to 90°), low angle first:
4.528 Å, 2θ = 19.6°, I 270, (2 0 0); 3.029 Å, 2θ = 29.5°, I 1000, (0 1 2); 3.019 Å, 2θ = 29.6°, I 816, (3 0 0); 2.941 Å, 2θ = 30.4°, I 552, (1 1 -2); 2.612 Å, 2θ = 34.3°, I 230, (2 1 -2); 2.433 Å, 2θ = 36.9°, I 437, (2 1 2); 2.225 Å, 2θ = 40.5°, I 325, (3 1 -2); 2.061 Å, 2θ = 43.9°, I 233, (3 1 2); 2.011 Å, 2θ = 45.1°, I 326, (0 2 0); 1.674 Å, 2θ = 54.9°, I 300, (3 2 0)

Atomic structure:
a b c (Å): 9.117 4.022 9.272
angles (deg): 90.00 96.67 90.00
Space group P2_1/m (No. 11)
Asymmetric unit:
Tl (0.195, 0.250, 0.148) x2
Ni (0.438, 0.750, 0.928) x2
Te (0.171, 0.250, 0.643) x2
Se (0.174, 0.750, 0.865) x2
Se (0.183, 0.750, 0.442) x2
Se (0.498, 0.250, 0.822) x2

=====

# 5
# Cs3CdCu2Br8
Calculated powder X-ray diffraction pattern, copper Kα. Input: the GGA-PBE geometry in Alexandria.
Neutral-atom scattering factors, no anomalous dispersion.

The 10 most intense peaks (2θ from 15° to 90°), low angle first:
4.029 Å, 2θ = 22.1°, I 295, (0 1 2); 3.874 Å, 2θ = 23.0°, I 946, (1 1 0); 3.358 Å, 2θ = 26.5°, I 498, (0 0 3); 3.183 Å, 2θ = 28.0°, I 575, (0 2 1); 3.071 Å, 2θ = 29.1°, I 259, (1 1 2); 2.793 Å, 2θ = 32.1°, I 1000, (2 0 2); 2.374 Å, 2θ = 37.9°, I 226, (2 0 3); 2.015 Å, 2θ = 45.0°, I 325, (0 2 4); 1.937 Å, 2θ = 46.9°, I 554, (2 2 0); 1.678 Å, 2θ = 54.7°, I 364, (0 0 6)

Atomic structure:
a b c (Å): 7.7474 7.7474 10.0784
angles (deg): 90.00 90.00 120.00
Space group P-3m1 (No. 164)
Asymmetric unit:
Cs (0.0000, 0.0000, 0.0000) x1
Cs (0.3333, 0.6667, 0.6406) x2
Cd (0.0000, 0.0000, 0.5000) x1
Cu (0.3333, 0.6667, 0.2240) x2
Br (0.1651, 0.3303, 0.3266) x6
Br (0.3333, 0.6667, 0.9936) x2

=====

# 6
# Cu2SbS3
Calculated powder X-ray diffraction pattern, copper Kα. Input: the GGA-PBE geometry in Alexandria.
Neutral-atom scattering factors, no anomalous dispersion.

The 10 most intense peaks (2θ from 15° to 90°), low angle first:
3.322 Å, 2θ = 26.8°, I 1000, (1 3 -1); 3.020 Å, 2θ = 29.6°, I 609, (0 0 2); 2.986 Å, 2θ = 29.9°, I 579, (2 0 0); 2.830 Å, 2θ = 31.6°, I 291, (1 3 1); 2.186 Å, 2θ = 41.3°, I 192, (0 6 0); 1.904 Å, 2θ = 47.8°, I 336, (1 3 -3); 1.887 Å, 2θ = 48.2°, I 315, (3 3 -1); 1.856 Å, 2θ = 49.1°, I 199, (2 0 2); 1.764 Å, 2θ = 51.8°, I 145, (2 6 0); 1.586 Å, 2θ = 58.2°, I 159, (3 3 -3)

Atomic structure:
a b c (Å): 6.278 13.119 6.350
angles (deg): 90.00 107.97 90.00
Space group Cc (No. 9)
Asymmetric unit:
Cu (0.000, 0.075, 0.000) x4
Cu (0.007, 0.231, 0.507) x4
Sb (0.473, 0.101, 0.529) x4
S (0.378, 0.120, 0.122) x4
S (0.379, 0.278, 0.630) x4
S (0.397, 0.421, 0.121) x4

=====

# 7
# Hg2Sb4N3
Calculated powder X-ray diffraction pattern, copper Kα. Input: the GGA-PBE geometry in Alexandria.
Neutral-atom scattering factors, no anomalous dispersion.

The 10 most intense peaks (2θ from 15° to 90°), low angle first:
3.522 Å, 2θ = 25.3°, I 1000, (0 4 0); 3.059 Å, 2θ = 29.2°, I 626, (4 0 0); 2.964 Å, 2θ = 30.2°, I 557, (0 0 2); 2.806 Å, 2θ = 31.9°, I 290, (4 2 0); 2.732 Å, 2θ = 32.8°, I 420, (0 2 2); 2.713 Å, 2θ = 33.0°, I 321, (2 4 1); 2.309 Å, 2θ = 39.0°, I 378, (4 4 0); 2.267 Å, 2θ = 39.8°, I 346, (0 4 2); 2.129 Å, 2θ = 42.5°, I 514, (4 0 2); 1.822 Å, 2θ = 50.1°, I 418, (4 4 2)

Atomic structure:
a b c (Å): 12.238 14.085 5.927
angles (deg): 90.00 90.00 90.00
Space group Cccm (No. 66)
Asymmetric unit:
Hg (0.128, 0.239, 0.000) x8
Sb (0.128, 0.047, 0.500) x8
Sb (0.128, 0.255, 0.500) x8
N (0.000, 0.000, 0.250) x4
N (0.046, 0.500, 0.250) x8

=====

# 8
# CsIn3O5
Calculated powder X-ray diffraction pattern, copper Kα. Input: the GGA-PBE geometry in Alexandria.
Neutral-atom scattering factors, no anomalous dispersion.

The 10 most intense peaks (2θ from 15° to 90°), low angle first:
3.361 Å, 2θ = 26.5°, I 766, (3 0 1); 3.196 Å, 2θ = 27.9°, I 655, (1 0 5); 3.176 Å, 2θ = 28.1°, I 339, (3 0 2); 3.016 Å, 2θ = 29.6°, I 505, (1 1 2); 2.800 Å, 2θ = 32.0°, I 1000, (0 0 6); 2.689 Å, 2θ = 33.3°, I 487, (2 1 2); 2.532 Å, 2θ = 35.5°, I 342, (2 1 3); 2.352 Å, 2θ = 38.3°, I 631, (2 1 4); 1.701 Å, 2θ = 53.9°, I 252, (0 2 0); 1.680 Å, 2θ = 54.6°, I 282, (5 1 3)

Atomic structure:
a b c (Å): 10.291 3.403 16.809
angles (deg): 90.00 90.00 90.00
Space group Pnma (No. 62)
Asymmetric unit:
Cs (0.032, 0.250, 0.123) x4
In (0.109, 0.250, 0.665) x4
In (0.144, 0.750, 0.490) x4
In (0.182, 0.250, 0.321) x4
O (0.025, 0.250, 0.424) x4
O (0.068, 0.750, 0.273) x4
O (0.192, 0.750, 0.719) x4
O (0.220, 0.250, 0.557) x4
O (0.230, 0.250, 0.889) x4

=====

# 9
# Li2Ca7Pd
Calculated powder X-ray diffraction pattern, copper Kα. Input: the GGA-PBE geometry in Alexandria.
Neutral-atom scattering factors, no anomalous dispersion.

The 10 most intense peaks (2θ from 15° to 90°), low angle first:
5.472 Å, 2θ = 16.2°, I 509, (2 0 -2); 3.601 Å, 2θ = 24.7°, I 277, (2 2 -2); 3.141 Å, 2θ = 28.4°, I 347, (1 1 -3); 3.060 Å, 2θ = 29.2°, I 1000, (4 2 -2); 3.024 Å, 2θ = 29.5°, I 387, (3 1 1); 3.011 Å, 2θ = 29.7°, I 334, (4 2 -1); 2.915 Å, 2θ = 30.7°, I 291, (2 0 2); 2.903 Å, 2θ = 30.8°, I 291, (5 1 -3); 2.881 Å, 2θ = 31.0°, I 304, (2 2 -3); 2.677 Å, 2θ = 33.5°, I 373, (4 2 0)

Atomic structure:
a b c (Å): 16.142 9.566 11.002
angles (deg): 90.00 126.84 90.00
Space group C2/c (No. 15)
Asymmetric unit:
Li (0.151, 0.000, 0.104) x8
Ca (0.000, 0.088, 0.250) x4
Ca (0.086, 0.344, 0.105) x8
Ca (0.136, 0.267, 0.796) x8
Ca (0.197, 0.396, 0.519) x8
Pd (0.000, 0.499, 0.250) x4